Theoretical powder diffractogram
Compound: LiMg2Zn6
Radiation: Cu Kα, 1.54184 Å
Structure: a structure optimized by DFT (GGA-PBE)
Lines closer than 0.1° are merged.

Crystal structure
```
data_LiMg2Zn6
_space_group_name_H-M_alt 'P 6/m m m'
_space_group_IT_number 191
_space_group_name_Hall '-P 6 2'
_cell_length_a 7.6480
_cell_length_b 7.6480
_cell_length_c 2.9530
_cell_angle_alpha 90.00
_cell_angle_beta 90.00
_cell_angle_gamma 120.00
loop_
_atom_site_label
_atom_site_fract_x
_atom_site_fract_y
_atom_site_fract_z
Li1 0.0000 0.0000 0.0000
Mg1 0.3333 0.6667 0.0000
Zn1 0.0000 0.3302 0.5000
```

The 6 most intense peaks (10 to 90 degrees two-theta), by angle:
2theta	I_rel
23.26	46
30.27	45
38.52	74
40.87	100
51.70	58
77.82	27

Theoretical powder diffractogram
Compound: Li10MgZn4
Radiation: Cu Kα, 1.54184 Å
Structure: a structure optimized by DFT (GGA-PBE)
Lines closer than 0.1° are merged.

Crystal structure
```
data_Li10MgZn4
_space_group_name_H-M_alt 'I 4/m'
_space_group_IT_number 87
_space_group_name_Hall '-I 4'
_cell_length_a 10.255
_cell_length_b 10.255
_cell_length_c 6.116
_cell_angle_alpha 90.00
_cell_angle_beta 90.00
_cell_angle_gamma 90.00
loop_
_atom_site_label
_atom_site_fract_x
_atom_site_fract_y
_atom_site_fract_z
Li1 0.000 0.500 0.250
Li2 0.110 0.784 0.246
Mg1 0.000 0.000 0.500
Zn1 0.092 0.293 0.000
```

The 6 most intense peaks (10 to 90 degrees two-theta), by angle:
2theta	I_rel
24.26	100
27.51	27
39.29	18
40.55	35
46.71	33
48.89	15

Theoretical powder diffractogram
Compound: Li5MgZn6
Radiation: Cu Kα, 1.54184 Å
Structure: a structure optimized by DFT (GGA-PBE)
Lines closer than 0.1° are merged.

Crystal structure
```
data_Li5MgZn6
_space_group_name_H-M_alt 'I m m m'
_space_group_IT_number 71
_space_group_name_Hall '-I 2 2'
_cell_length_a 4.011
_cell_length_b 8.197
_cell_length_c 11.458
_cell_angle_alpha 90.00
_cell_angle_beta 90.00
_cell_angle_gamma 90.00
loop_
_atom_site_label
_atom_site_fract_x
_atom_site_fract_y
_atom_site_fract_z
Li1 0.000 0.000 0.000
Li2 0.000 0.000 0.329
Li3 0.000 0.500 0.334
Mg1 0.000 0.500 0.000
Zn1 0.000 0.246 0.168
Zn2 0.000 0.257 0.500
```

The 6 most intense peaks (10 to 90 degrees two-theta), by angle:
2theta	I_rel
21.68	72
32.37	53
39.30	100
44.20	18
45.21	17
55.84	21

Theoretical powder diffractogram
Compound: Li6MgZn6
Radiation: Cu Kα, 1.54184 Å
Structure: a structure optimized by DFT (GGA-PBE)
Lines closer than 0.1° are merged.

Crystal structure
```
data_Li6MgZn6
_space_group_name_H-M_alt 'I m m m'
_space_group_IT_number 71
_space_group_name_Hall '-I 2 2'
_cell_length_a 5.118
_cell_length_b 9.051
_cell_length_c 9.171
_cell_angle_alpha 90.00
_cell_angle_beta 90.00
_cell_angle_gamma 90.00
loop_
_atom_site_label
_atom_site_fract_x
_atom_site_fract_y
_atom_site_fract_z
Li1 0.000 0.000 0.160
Li2 0.000 0.310 0.000
Li3 0.000 0.349 0.500
Mg1 0.000 0.000 0.500
Zn1 0.000 0.500 0.224
Zn2 0.250 0.250 0.250
```

The 6 most intense peaks (10 to 90 degrees two-theta), by angle:
2theta	I_rel
19.36	100
39.85	36
40.49	43
44.66	26
45.25	51
57.69	26